This entry pairs a crystal structure of CuTe with its computed X-ray diffraction stick pattern. Radiation: Cu Ka. Structure: a DFT-relaxed cell (PBE, OQMD).
Lines closer than 0.1° are merged.

Most intense lines, 15 to 90 degrees two-theta, most intense first:
26.3 deg, rel. 100.0
43.6 deg, rel. 46.6
51.5 deg, rel. 30.6
43.5 deg, rel. 23.5
51.7 deg, rel. 15.1
79.9 deg, rel. 14.8

Structure:
Cell lengths 4.1626, 4.1626, 5.8550 Å; angles 90.00, 90.00, 90.00 degrees
Space group I-4m2 (No. 119)
One atom of each set of equivalent atoms:
Cu (0.0000, 0.0000, 0.0000) x2
Te (0.0000, 0.5000, 0.7500) x2


This entry pairs a crystal structure of Al2Ni11 with its computed X-ray diffraction stick pattern. Radiation: Cu Ka. Structure: a DFT-relaxed cell (PBE, OQMD).
Lines closer than 0.1° are merged.

Most intense lines, 15 to 90 degrees two-theta, most intense first:
45.2 deg, rel. 100.0
49.4 deg, rel. 52.2
44.2 deg, rel. 34.5
46.6 deg, rel. 33.1
45.7 deg, rel. 29.6
43.2 deg, rel. 27.9

Structure:
Cell lengths 4.5977, 4.5977, 24.5859 Å; angles 90.00, 90.00, 120.00 degrees
Space group R-3m (No. 166, hexagonal axes)
One atom of each set of equivalent atoms:
Al (0.0000, 0.0000, 0.0520) x6
Ni (0.0000, 0.0000, 0.1533) x6
Ni (0.0000, 0.0000, 0.3339) x6
Ni (0.0000, 0.0000, 0.5000) x3
Ni (0.0028, 0.5014, 0.9106) x18


This entry pairs a crystal structure of TbTh2C2 with its computed X-ray diffraction stick pattern. Radiation: Cu Ka. Structure: a DFT-relaxed cell (PBE, OQMD).
Lines closer than 0.1° are merged.

Most intense lines, 15 to 90 degrees two-theta, most intense first:
31.2 deg, rel. 100.0
32.7 deg, rel. 71.8
29.3 deg, rel. 45.8
59.1 deg, rel. 40.5
50.0 deg, rel. 39.8
52.1 deg, rel. 33.5

Structure:
Cell lengths 3.6459, 3.6459, 27.4202 Å; angles 90.00, 90.00, 120.00 degrees
Space group R-3m (No. 166, hexagonal axes)
One atom of each set of equivalent atoms:
Tb (0.0000, 0.0000, 0.0000) x3
Th (0.0000, 0.0000, 0.2278) x6
C (0.0000, 0.0000, 0.3913) x6


This entry pairs a crystal structure of HoUTa with its computed X-ray diffraction stick pattern. Radiation: Cu Ka. Structure: a DFT-relaxed cell (PBE, OQMD).
Lines closer than 0.1° are merged.

Most intense lines, 15 to 90 degrees two-theta, most intense first:
35.4 deg, rel. 100.0
63.5 deg, rel. 27.4
50.9 deg, rel. 16.4
71.3 deg, rel. 14.7
46.2 deg, rel. 9.6
85.6 deg, rel. 7.9

Structure:
Cell lengths 8.7944, 8.7944, 3.0993 Å; angles 90.00, 90.00, 120.00 degrees
Space group P-62m (No. 189)
One atom of each set of equivalent atoms:
Ho (0.0000, 0.3344, 0.0000) x3
U (0.0000, 0.0000, 0.5000) x1
U (0.3333, 0.6667, 0.5000) x2
Ta (0.0000, 0.6675, 0.5000) x3


This entry pairs a crystal structure of RbAgSe4 with its computed X-ray diffraction stick pattern. Radiation: Cu Ka. Structure: a DFT-relaxed cell (PBE, OQMD).
Lines closer than 0.1° are merged.

Most intense lines, 15 to 90 degrees two-theta, most intense first:
28.2 deg, rel. 100.0
32.8 deg, rel. 93.9
31.9 deg, rel. 67.6
26.3 deg, rel. 63.5
16.4 deg, rel. 61.1
24.9 deg, rel. 55.3

Structure:
Cell lengths 5.8577, 9.0105, 13.5521 Å; angles 90.00, 90.00, 90.00 degrees
Space group P2_12_12_1 (No. 19)
One atom of each set of equivalent atoms:
Rb (0.1729, 0.0551, 0.3395) x4
Ag (0.0352, 0.1314, 0.0667) x4
Se (0.0844, 0.5824, 0.9245) x4
Se (0.1291, 0.6862, 0.6122) x4
Se (0.1346, 0.3650, 0.8210) x4
Se (0.1916, 0.8606, 0.1043) x4


This entry pairs a crystal structure of YLuZn2Sn2 with its computed X-ray diffraction stick pattern. Radiation: Cu Ka. Structure: a DFT-relaxed cell (PBE, OQMD).
Lines closer than 0.1° are merged.

Most intense lines, 15 to 90 degrees two-theta, most intense first:
32.5 deg, rel. 100.0
40.3 deg, rel. 65.5
52.7 deg, rel. 25.5
68.3 deg, rel. 23.4
28.7 deg, rel. 20.6
46.8 deg, rel. 17.8

Structure:
Cell lengths 4.4784, 4.4784, 15.6888 Å; angles 90.00, 90.00, 120.00 degrees
Space group P6_3/mmc (No. 194)
One atom of each set of equivalent atoms:
Y (0.0000, 0.0000, 0.0000) x2
Lu (0.0000, 0.0000, 0.2500) x2
Zn (0.3333, 0.6667, 0.1624) x4
Sn (0.3333, 0.6667, 0.6150) x4